This entry pairs a crystal structure of Gd3WCl3O6 with its theoretical powder diffraction line list. Radiation: Cu Kα (λ = 1.5418 Å). Structure: DFT lattice parameters and positions (PBE+U).
Neutral-atom scattering factors, no anomalous dispersion.

The 10 most intense peaks (2θ = 5–70°), sorted by position:
d/Å  I/Imax  (hkl)
8.003  55  1 0 0
3.492  61  1 1 1
3.201  55  2 0 1
3.025  37  1 2 0
2.667  49  0 0 2
2.631  100  1 2 1
2.000  47  1 2 2
1.886  21  3 0 2
1.736  34  3 2 1
1.533  20  1 2 3

Atomic structure:
Cell lengths 9.2408, 9.2408, 5.3341 Å; angles 90.00, 90.00, 120.00 degrees
Fractional positions:
1 Gd 0.0882 0.6828 0.2500
2 Gd 0.3172 0.4054 0.2500
3 Gd 0.4054 0.0882 0.7500
4 Gd 0.5946 0.9118 0.2500
5 Gd 0.6828 0.5946 0.7500
6 Gd 0.9118 0.3172 0.7500
7 W 0.3333 0.6667 0.7500
8 W 0.6667 0.3333 0.2500
9 Cl 0.0493 0.8076 0.7500
10 Cl 0.1924 0.2417 0.7500
11 Cl 0.2417 0.0493 0.2500
12 Cl 0.7583 0.9507 0.7500
13 Cl 0.8076 0.7583 0.2500
14 Cl 0.9507 0.1924 0.2500
15 O 0.1567 0.5228 0.5144
16 O 0.1567 0.5228 0.9856
17 O 0.3661 0.8433 0.5144
18 O 0.3661 0.8433 0.9856
19 O 0.4772 0.6339 0.5144
20 O 0.4772 0.6339 0.9856
21 O 0.5228 0.3661 0.0144
22 O 0.5228 0.3661 0.4856
23 O 0.6339 0.1567 0.0144
24 O 0.6339 0.1567 0.4856
25 O 0.8433 0.4772 0.0144
26 O 0.8433 0.4772 0.4856